Starting from DFT lattice parameters and positions (PBE), the XRD peak list of Cd3Ga3N5 was computed for a wavelength of 1.5418 Å.
Neutral-atom scattering factors, no anomalous dispersion.

Crystal structure
Cell lengths 5.8559, 7.0269, 8.7084 Å; angles 107.36, 105.01, 100.28 degrees
Fractional coordinates of all 22 atoms:
Cd: 0.1569 0.3249 0.4660
Cd: 0.2149 0.9368 0.1087
Cd: 0.2346 0.1090 0.7426
Cd: 0.7654 0.8910 0.2574
Cd: 0.7851 0.0632 0.8913
Cd: 0.8431 0.6751 0.5340
Ga: 0.2045 0.4604 0.0935
Ga: 0.3710 0.6528 0.8126
Ga: 0.3978 0.8036 0.4713
Ga: 0.6022 0.1964 0.5287
Ga: 0.6290 0.3472 0.1874
Ga: 0.7955 0.5396 0.9065
N: 0.1452 0.6004 0.9280
N: 0.2414 0.7429 0.6274
N: 0.2486 0.9970 0.3812
N: 0.2982 0.2014 0.0232
N: 0.4972 0.3842 0.7016
N: 0.5028 0.6158 0.2984
N: 0.7018 0.7986 0.9768
N: 0.7514 0.0030 0.6188
N: 0.7586 0.2571 0.3726
N: 0.8548 0.3996 0.0720

Most intense lines, 10° ≤ 2θ ≤ 80°, by angle:
d = 2.801 Å, I 67
d = 2.737 Å, I 74
d = 2.717 Å, I 50
d = 2.697 Å, I 71
d = 2.689 Å, I 83
d = 2.660 Å, I 100
d = 2.341 Å, I 41
d = 2.285 Å, I 46



Starting from DFT lattice parameters and positions (PBE), the XRD peak list of Na17CdGa11 was computed for a wavelength of 1.5418 Å.
Neutral-atom scattering factors, no anomalous dispersion.

Crystal structure
Cell lengths 9.6665, 9.6665, 9.6831 Å; angles 109.35, 109.35, 109.33 degrees
Fractional coordinates of all 29 atoms:
Na: 0.0000 0.0000 0.0000
Na: 0.0014 0.3160 0.2407
Na: 0.0020 0.0020 0.6519
Na: 0.0018 0.5961 0.9635
Na: 0.0027 0.3564 0.6536
Na: 0.2845 0.6921 0.3395
Na: 0.3160 0.0014 0.2407
Na: 0.3159 0.6000 0.6513
Na: 0.3564 0.0027 0.6536
Na: 0.4065 0.7191 0.0565
Na: 0.4117 0.4117 0.3655
Na: 0.5961 0.0018 0.9635
Na: 0.6000 0.3159 0.6513
Na: 0.6534 0.6534 0.3015
Na: 0.6870 0.6870 0.9273
Na: 0.6921 0.2845 0.3395
Na: 0.7191 0.4065 0.0565
Cd: 0.1861 0.1861 0.4801
Ga: 0.0074 0.6536 0.4770
Ga: 0.1751 0.3546 0.0036
Ga: 0.1752 0.8208 0.8240
Ga: 0.3546 0.1751 0.0036
Ga: 0.3643 0.3643 0.8470
Ga: 0.6476 0.8243 0.6496
Ga: 0.6536 0.0074 0.4770
Ga: 0.8167 0.9910 0.2884
Ga: 0.8208 0.1752 0.8240
Ga: 0.8243 0.6476 0.6496
Ga: 0.9910 0.8167 0.2884

Most intense lines, 10° ≤ 2θ ≤ 80°, by angle:
d = 7.911 Å, I 51
d = 4.577 Å, I 42
d = 4.558 Å, I 67
d = 2.643 Å, I 42
d = 2.634 Å, I 100
d = 2.396 Å, I 30
d = 2.383 Å, I 52
d = 2.379 Å, I 38



Starting from DFT lattice parameters and positions (PBE), the XRD peak list of NaCd2Ga was computed for a wavelength of 1.5418 Å.
Neutral-atom scattering factors, no anomalous dispersion.

Crystal structure
Cell lengths 7.4704, 4.7755, 10.5986 Å; angles 90.00, 90.00, 90.00 degrees
Fractional coordinates of all 16 atoms:
Na: 0.2370 0.2500 0.1669
Na: 0.2630 0.7500 0.6669
Na: 0.7370 0.2500 0.3331
Na: 0.7630 0.7500 0.8331
Cd: 0.0681 0.2500 0.8518
Cd: 0.2383 0.7500 0.9618
Cd: 0.2617 0.2500 0.4618
Cd: 0.4319 0.7500 0.3518
Cd: 0.5681 0.2500 0.6482
Cd: 0.7383 0.7500 0.5382
Cd: 0.7617 0.2500 0.0382
Cd: 0.9319 0.7500 0.1482
Ga: 0.0506 0.7500 0.3981
Ga: 0.4494 0.2500 0.8981
Ga: 0.5506 0.7500 0.1019
Ga: 0.9494 0.2500 0.6019

Most intense lines, 10° ≤ 2θ ≤ 80°, by angle:
d = 5.299 Å, I 26
d = 4.354 Å, I 43
d = 4.322 Å, I 54
d = 2.835 Å, I 80
d = 2.654 Å, I 92
d = 2.388 Å, I 62
d = 2.261 Å, I 48
d = 2.161 Å, I 100



Starting from DFT lattice parameters and positions (PBE), the XRD peak list of NaCd12Ga6 was computed for a wavelength of 1.5418 Å.
Neutral-atom scattering factors, no anomalous dispersion.

Crystal structure
Cell lengths 8.2299, 8.2299, 8.2299 Å; angles 108.04, 108.04, 108.04 degrees
Fractional coordinates of all 19 atoms:
Na: 0.0000 0.0000 0.0000
Cd: 0.1114 0.5000 0.8886
Cd: 0.1114 0.8886 0.5000
Cd: 0.1526 0.3821 0.3821
Cd: 0.3821 0.1526 0.3821
Cd: 0.3821 0.3821 0.1526
Cd: 0.5000 0.1114 0.8886
Cd: 0.5000 0.8886 0.1114
Cd: 0.6179 0.6179 0.8474
Cd: 0.6179 0.8474 0.6179
Cd: 0.8474 0.6179 0.6179
Cd: 0.8886 0.1114 0.5000
Cd: 0.8886 0.5000 0.1114
Ga: 0.2643 0.7065 0.7065
Ga: 0.2935 0.2935 0.7357
Ga: 0.2935 0.7357 0.2935
Ga: 0.7065 0.2643 0.7065
Ga: 0.7065 0.7065 0.2643
Ga: 0.7357 0.2935 0.2935

Most intense lines, 10° ≤ 2θ ≤ 80°, by angle:
d = 4.109 Å, I 30
d = 3.007 Å, I 100
d = 2.683 Å, I 64
d = 2.534 Å, I 72
d = 2.517 Å, I 36
d = 2.331 Å, I 41
d = 2.267 Å, I 39
d = 2.043 Å, I 64



Starting from DFT lattice parameters and positions (PBE), the XRD peak list of Na2CdGa10 was computed for a wavelength of 1.5418 Å.
Neutral-atom scattering factors, no anomalous dispersion.

Crystal structure
Cell lengths 6.0694, 17.7647, 6.0693 Å; angles 90.00, 90.00, 90.00 degrees
Fractional coordinates of all 26 atoms:
Na: 0.1802 0.0819 0.0000
Na: 0.3198 0.5819 0.0000
Na: 0.6802 0.4181 0.0000
Na: 0.8198 0.9181 0.0000
Cd: 0.0000 0.5000 0.5000
Cd: 0.5000 0.0000 0.5000
Ga: 0.0265 0.9266 0.5000
Ga: 0.1601 0.3927 0.2040
Ga: 0.1601 0.3927 0.7960
Ga: 0.1598 0.6500 0.5000
Ga: 0.2361 0.7896 0.5000
Ga: 0.2639 0.2896 0.5000
Ga: 0.3402 0.1500 0.5000
Ga: 0.3399 0.8927 0.2040
Ga: 0.3399 0.8927 0.7960
Ga: 0.4735 0.4266 0.5000
Ga: 0.5265 0.5734 0.5000
Ga: 0.6601 0.1073 0.2040
Ga: 0.6601 0.1073 0.7960
Ga: 0.6598 0.8500 0.5000
Ga: 0.7361 0.7104 0.5000
Ga: 0.7639 0.2104 0.5000
Ga: 0.8402 0.3500 0.5000
Ga: 0.8399 0.6073 0.2040
Ga: 0.8399 0.6073 0.7960
Ga: 0.9735 0.0734 0.5000

Most intense lines, 10° ≤ 2θ ≤ 80°, by angle:
d = 6.069 Å, I 100
d = 5.011 Å, I 22
d = 2.596 Å, I 57
d = 2.437 Å, I 19
d = 2.184 Å, I 18
d = 2.157 Å, I 20
d = 2.086 Å, I 31
d = 2.001 Å, I 21



Starting from DFT lattice parameters and positions (PBE), the XRD peak list of Na8Cd2Ga was computed for a wavelength of 1.5418 Å.
Neutral-atom scattering factors, no anomalous dispersion.

Crystal structure
Cell lengths 8.6661, 8.6661, 5.5593 Å; angles 101.43, 101.43, 117.64 degrees
Fractional coordinates of all 11 atoms:
Na: 0.0843 0.3133 0.6128
Na: 0.2117 0.7883 0.0000
Na: 0.3133 0.0843 0.6128
Na: 0.3723 0.3723 0.1892
Na: 0.6277 0.6277 0.8108
Na: 0.6867 0.9157 0.3872
Na: 0.7883 0.2117 0.0000
Na: 0.9157 0.6867 0.3872
Cd: 0.3122 0.6878 0.5000
Cd: 0.6878 0.3122 0.5000
Ga: 0.0000 0.0000 0.0000

Most intense lines, 10° ≤ 2θ ≤ 80°, by angle:
d = 5.062 Å, I 49
d = 4.245 Å, I 78
d = 4.222 Å, I 78
d = 4.145 Å, I 68
d = 3.000 Å, I 75
d = 2.893 Å, I 62
d = 2.598 Å, I 100
d = 2.414 Å, I 76



Starting from DFT lattice parameters and positions (PBE), the XRD peak list of Na17Cd11Ga was computed for a wavelength of 1.5418 Å.
Neutral-atom scattering factors, no anomalous dispersion.

Crystal structure
Cell lengths 10.0960, 10.0960, 10.0664 Å; angles 109.41, 109.41, 109.48 degrees
Fractional coordinates of all 29 atoms:
Na: 0.0000 0.0000 0.0000
Na: 0.0280 0.0280 0.6254
Na: 0.0872 0.6796 0.9619
Na: 0.0885 0.3654 0.2742
Na: 0.2731 0.9644 0.8731
Na: 0.2739 0.2739 0.5576
Na: 0.3294 0.6773 0.2749
Na: 0.3654 0.0885 0.2742
Na: 0.3649 0.6787 0.6855
Na: 0.3999 0.9924 0.5902
Na: 0.6773 0.3294 0.2749
Na: 0.6778 0.6778 0.2747
Na: 0.6787 0.3649 0.6855
Na: 0.6796 0.0872 0.9619
Na: 0.6825 0.6825 0.9282
Na: 0.9644 0.2731 0.8731
Na: 0.9924 0.3999 0.5902
Cd: 0.0407 0.6788 0.4602
Cd: 0.0438 0.8656 0.2768
Cd: 0.3165 0.4988 0.9202
Cd: 0.4905 0.4905 0.4385
Cd: 0.4957 0.8573 0.0922
Cd: 0.4988 0.3165 0.9202
Cd: 0.6785 0.8616 0.6394
Cd: 0.6788 0.0407 0.4602
Cd: 0.8573 0.4957 0.0922
Cd: 0.8616 0.6785 0.6394
Cd: 0.8656 0.0438 0.2768
Ga: 0.3186 0.3186 0.0969

Most intense lines, 10° ≤ 2θ ≤ 80°, by angle:
d = 8.240 Å, I 31
d = 4.756 Å, I 100
d = 2.747 Å, I 85
d = 2.486 Å, I 66
d = 2.478 Å, I 21
d = 2.286 Å, I 32
d = 1.942 Å, I 15
d = 1.585 Å, I 15



Starting from DFT lattice parameters and positions (PBE), the XRD peak list of NaCd6Ga6 was computed for a wavelength of 1.5418 Å.
Neutral-atom scattering factors, no anomalous dispersion.

Crystal structure
Cell lengths 7.6521, 7.6521, 7.6521 Å; angles 137.21, 99.74, 95.56 degrees
Fractional coordinates of all 13 atoms:
Na: 0.0000 0.0000 0.0000
Cd: 0.1834 0.5000 0.6834
Cd: 0.3426 0.0000 0.3426
Cd: 0.3539 0.3539 0.0000
Cd: 0.6461 0.6461 0.0000
Cd: 0.6574 0.0000 0.6574
Cd: 0.8166 0.5000 0.3166
Ga: 0.0000 0.0000 0.5000
Ga: 0.0000 0.5000 0.0000
Ga: 0.2280 0.7280 0.5000
Ga: 0.5000 0.0000 0.0000
Ga: 0.5000 0.5000 0.5000
Ga: 0.7720 0.2720 0.5000

Most intense lines, 10° ≤ 2θ ≤ 80°, by angle:
d = 2.833 Å, I 62
d = 2.571 Å, I 38
d = 2.481 Å, I 85
d = 2.453 Å, I 45
d = 2.280 Å, I 38
d = 2.272 Å, I 58
d = 2.223 Å, I 43
d = 2.197 Å, I 100



Starting from DFT lattice parameters and positions (PBE), the XRD peak list of Na3Cd7Ga4 was computed for a wavelength of 1.5418 Å.
Neutral-atom scattering factors, no anomalous dispersion.

Crystal structure
Cell lengths 8.7415, 8.7415, 10.4325 Å; angles 124.06, 124.06, 30.44 degrees
Fractional coordinates of all 14 atoms:
Na: 0.0000 0.0000 0.0000
Na: 0.3097 0.3097 0.3062
Na: 0.6903 0.6903 0.6938
Cd: 0.0000 0.0000 0.5000
Cd: 0.1519 0.1519 0.4164
Cd: 0.3201 0.3201 0.9709
Cd: 0.4934 0.4934 0.7038
Cd: 0.5066 0.5066 0.2962
Cd: 0.6799 0.6799 0.0291
Cd: 0.8481 0.8481 0.5836
Ga: 0.1176 0.1176 0.8351
Ga: 0.3296 0.3296 0.7175
Ga: 0.6704 0.6704 0.2825
Ga: 0.8824 0.8824 0.1649

Most intense lines, 10° ≤ 2θ ≤ 80°, by angle:
d = 5.211 Å, I 68
d = 4.201 Å, I 36
d = 2.794 Å, I 64
d = 2.712 Å, I 69
d = 2.536 Å, I 45
d = 2.357 Å, I 27
d = 2.293 Å, I 100
d = 2.196 Å, I 37



Starting from DFT lattice parameters and positions (PBE), the XRD peak list of NaCd9Ga3 was computed for a wavelength of 1.5418 Å.
Neutral-atom scattering factors, no anomalous dispersion.

Crystal structure
Cell lengths 7.7268, 7.7268, 7.5545 Å; angles 97.70, 97.70, 135.23 degrees
Fractional coordinates of all 13 atoms:
Na: 0.0000 0.0000 0.0000
Cd: 0.0000 0.0000 0.5000
Cd: 0.0045 0.3551 0.3507
Cd: 0.2857 0.5000 0.7873
Cd: 0.3551 0.0045 0.3507
Cd: 0.5000 0.2857 0.7873
Cd: 0.5000 0.7143 0.2127
Cd: 0.6449 0.9955 0.6493
Cd: 0.7143 0.5000 0.2127
Cd: 0.9955 0.6449 0.6493
Ga: 0.0000 0.5000 0.0000
Ga: 0.5000 0.0000 0.0000
Ga: 0.5000 0.5000 0.5000

Most intense lines, 10° ≤ 2θ ≤ 80°, by angle:
d = 5.017 Å, I 35
d = 2.943 Å, I 51
d = 2.570 Å, I 36
d = 2.548 Å, I 37
d = 2.511 Å, I 95
d = 2.272 Å, I 100
d = 2.239 Å, I 46
d = 2.219 Å, I 50



Starting from DFT lattice parameters and positions (PBE), the XRD peak list of NaCdGaNi2 was computed for a wavelength of 1.5418 Å.
Neutral-atom scattering factors, no anomalous dispersion.

Crystal structure
Cell lengths 4.5487, 4.5487, 4.9252 Å; angles 90.00, 90.00, 90.00 degrees
Fractional coordinates of all 5 atoms:
Na: 0.0000 0.0000 0.0000
Cd: 0.0000 0.0000 0.5000
Ga: 0.5000 0.5000 0.5000
Ni: 0.0000 0.5000 0.0000
Ni: 0.5000 0.0000 0.0000

Most intense lines, 10° ≤ 2θ ≤ 80°, by angle:
d = 2.693 Å, I 100
d = 2.463 Å, I 26
d = 2.274 Å, I 42
d = 1.671 Å, I 31
d = 1.608 Å, I 13
d = 1.462 Å, I 14
d = 1.381 Å, I 23
d = 1.347 Å, I 14